Simulated XRD peak list
Compound: K2NaMn2F7
Radiation: λ = 1.5418 Å (Cu Kα)
Structure: a cell relaxed with GGA+U

Cell and atoms:
```
data_K2NaMn2F7
_symmetry_space_group_name_H-M 'I 4/m m m'
_symmetry_Int_Tables_number 139
_symmetry_space_group_name_Hall '-I 4 2'
_cell_length_a 4.2249
_cell_length_b 4.2249
_cell_length_c 21.7010
_cell_angle_alpha 90.00
_cell_angle_beta 90.00
_cell_angle_gamma 90.00
loop_
_atom_site_label
_atom_site_fract_x
_atom_site_fract_y
_atom_site_fract_z
K1 0.0000 0.0000 0.1849
Na1 0.0000 0.0000 0.0000
Mn1 0.0000 0.0000 0.4029
F1 0.0000 0.0000 0.3049
F2 0.0000 0.0000 0.5000
F3 0.0000 0.5000 0.0936
```

Largest 12 diffraction maxima, in order of rising 2θ, 2θ = 10–90°:
Position (°2θ)	intensity	h k l
16.34	46.0	0 0 4
21.43	49.4	1 0 1
29.51	100.0	1 0 5
29.91	85.5	1 1 0
39.11	19.9	1 1 6
41.62	39.9	0 0 10
42.81	94.5	2 0 0
43.20	19.9	1 0 9
52.09	22.8	1 1 10
52.85	36.3	2 1 5
61.23	41.8	2 0 10
62.14	25.8	2 2 0